This entry pairs a crystal structure of CsMoPbF6 with its simulated powder diffraction line list. Radiation: λ = 1.5418 Å (Cu Kα). Structure: the PBE+U geometry in Alexandria.
Kinematic intensities with the Lorentz-polarization factor, no thermal factor.

Largest 10 diffraction maxima, sorted by position, 2θ from 15° to 90°:
2θ/deg, I/Imax
22.2, 40.5
25.5, 100.0
26.0, 47.0
26.3, 28.5
26.5, 30.1
26.8, 45.5
27.5, 54.5
34.4, 21.9
41.1, 33.2
45.4, 80.8

Atomic structure:
```
CsMoPbF6
1.0
-3.9993 4.1406 5.5608
3.9993 -4.1406 5.5608
3.9993 4.1406 -5.5608
Cs Mo Pb F
2 2 2 12
direct
0.3527 0.1027 0.2500
0.6473 0.8973 0.7500
0.0000 0.0000 0.5000
0.0000 0.5000 0.0000
0.0000 0.5000 0.5000
0.5000 0.5000 0.0000
0.0457 0.3463 0.1567
0.0457 0.8890 0.6994
0.0594 0.3094 0.7500
0.3104 0.1110 0.6567
0.3104 0.6537 0.1994
0.3628 0.6128 0.7500
0.6372 0.3872 0.2500
0.6896 0.3463 0.8006
0.6896 0.8890 0.3433
0.9406 0.6906 0.2500
0.9543 0.1110 0.3006
0.9543 0.6537 0.8433
```

=====

This entry pairs a crystal structure of CsRb2MoF6 with its simulated powder diffraction line list. Radiation: λ = 1.5418 Å (Cu Kα). Structure: the PBE+U geometry in Alexandria.
Kinematic intensities with the Lorentz-polarization factor, no thermal factor.

Largest 10 diffraction maxima, sorted by position, 2θ from 15° to 90°:
2θ/deg, I/Imax
25.4, 46.6
26.3, 100.0
26.5, 97.4
26.9, 43.4
37.4, 47.3
38.0, 23.3
45.3, 21.4
46.3, 22.9
47.0, 33.5
47.5, 35.3

Atomic structure:
```
CsRb2MoF6
1.0
6.6303 0.0000 0.0000
0.0000 7.0042 0.0000
-6.5002 0.0000 9.4609
Cs Rb Mo F
2 4 2 12
direct
0.0000 0.0000 0.0000
0.0000 0.5000 0.5000
0.2261 0.0438 0.7390
0.2261 0.4562 0.2390
0.7739 0.5438 0.7610
0.7739 0.9562 0.2610
0.5000 0.0000 0.5000
0.5000 0.5000 0.0000
0.1994 0.1600 0.4636
0.1994 0.3400 0.9636
0.2671 0.7419 0.9169
0.2671 0.7581 0.4169
0.4076 0.0758 0.2971
0.4076 0.4242 0.7971
0.5924 0.5758 0.2029
0.5924 0.9242 0.7029
0.7329 0.2419 0.5831
0.7329 0.2581 0.0831
0.8006 0.6600 0.0364
0.8006 0.8400 0.5364
```

=====

This entry pairs a crystal structure of Cs2TiMoF6 with its simulated powder diffraction line list. Radiation: λ = 1.5418 Å (Cu Kα). Structure: the PBE+U geometry in Alexandria.
Kinematic intensities with the Lorentz-polarization factor, no thermal factor.

Largest 10 diffraction maxima, sorted by position, 2θ from 15° to 90°:
2θ/deg, I/Imax
28.4, 100.0
28.5, 49.4
35.0, 23.0
40.3, 19.3
40.8, 37.2
50.1, 20.3
50.4, 39.7
58.7, 23.5
59.0, 11.5
66.8, 17.6

Atomic structure:
```
Cs2TiMoF6
1.0
-3.1307 3.1307 4.4711
3.1307 -3.1307 4.4711
3.1307 3.1307 -4.4711
Cs Ti Mo F
2 1 1 6
direct
0.2500 0.7500 0.5000
0.7500 0.2500 0.5000
0.0000 0.0000 0.0000
0.5000 0.5000 0.0000
0.2402 0.2402 0.4803
0.2402 0.7598 0.0000
0.2558 0.2558 0.0000
0.7442 0.7442 0.0000
0.7598 0.2402 0.0000
0.7598 0.7598 0.5197
```